This entry pairs a crystal structure of LiCoOs with its calculated X-ray diffraction stick pattern. Radiation: Cu Kα (weighted mean of Kα1 and Kα2). Structure: a crystal structure in Alexandria, relaxed with GGA-PBE.
Peak positions follow from Bragg's law for the DFT cell and can differ from measured ones.

Peak list (10 most intense, 2θ from 10° to 90°, by intensity)
- d 4.287, 2θ 20.72, I 100
- d 2.000, 2θ 45.34, I 48
- d 2.230, 2θ 40.46, I 48
- d 2.040, 2θ 44.40, I 46
- d 1.921, 2θ 47.31, I 39
- d 2.144, 2θ 42.16, I 32
- d 3.398, 2θ 26.22, I 22
- d 2.261, 2θ 39.87, I 22
- d 1.605, 2θ 57.41, I 19
- d 3.771, 2θ 23.59, I 17

Crystal structure
```
data_LiCoOs
_chemical_formula_sum 'Li2 Co2 Os2'
_cell_length_a 4.472
_cell_length_b 4.472
_cell_length_c 5.195
_cell_angle_alpha 119.16
_cell_angle_beta 119.16
_cell_angle_gamma 60.76
_space_group_name_H-M_alt 'P 1'
_space_group_IT_number 1
loop_
_space_group_symop_operation_xyz
'x,y,z'
loop_
_atom_site_label
_atom_site_fract_x
_atom_site_fract_y
_atom_site_fract_z
Li1 0.169 0.169 0.004
Li2 0.831 0.831 0.996
Co1 0.314 0.686 0.500
Co2 0.503 0.497 0.000
Os1 0.647 0.021 0.498
Os2 0.979 0.353 0.502
```

***

This entry pairs a crystal structure of LiCoOs with its calculated X-ray diffraction stick pattern. Radiation: Cu Kα (weighted mean of Kα1 and Kα2). Structure: a crystal structure in Alexandria, relaxed with GGA-PBE.
Peak positions follow from Bragg's law for the DFT cell and can differ from measured ones.

Peak list (10 most intense, 2θ from 10° to 90°, by intensity)
- d 3.553, 2θ 25.06, I 100
- d 2.022, 2θ 44.82, I 90
- d 2.052, 2θ 44.14, I 62
- d 1.179, 2θ 81.69, I 31
- d 1.440, 2θ 64.73, I 30
- d 1.777, 2θ 51.43, I 15
- d 1.575, 2θ 58.60, I 13
- d 1.343, 2θ 70.06, I 12
- d 1.184, 2θ 81.21, I 10
- d 4.918, 2θ 18.04, I 10

Crystal structure
```
data_LiCoOs
_chemical_formula_sum 'Li2 Co2 Os2'
_cell_length_a 4.103
_cell_length_b 4.103
_cell_length_c 4.918
_cell_angle_alpha 90.00
_cell_angle_beta 90.00
_cell_angle_gamma 120.00
_space_group_name_H-M_alt 'P 1'
_space_group_IT_number 1
loop_
_space_group_symop_operation_xyz
'x,y,z'
loop_
_atom_site_label
_atom_site_fract_x
_atom_site_fract_y
_atom_site_fract_z
Li1 0.333 0.667 0.000
Li2 0.667 0.333 0.000
Co1 0.333 0.667 0.500
Co2 0.667 0.333 0.500
Os1 0.000 0.000 0.247
Os2 0.000 0.000 0.753
```

***

This entry pairs a crystal structure of LiCoRe2Os with its calculated X-ray diffraction stick pattern. Radiation: Cu Kα (weighted mean of Kα1 and Kα2). Structure: a crystal structure in Alexandria, relaxed with GGA-PBE.
Peak positions follow from Bragg's law for the DFT cell and can differ from measured ones.

Peak list (10 most intense, 2θ from 10° to 90°, by intensity)
- d 2.409, 2θ 37.32, I 100
- d 2.205, 2θ 40.92, I 61
- d 2.877, 2θ 31.09, I 39
- d 1.438, 2θ 64.83, I 31
- d 1.309, 2θ 72.16, I 30
- d 1.559, 2θ 59.26, I 20
- d 1.897, 2θ 47.95, I 19
- d 3.795, 2θ 23.44, I 19
- d 1.750, 2θ 52.27, I 18
- d 1.205, 2θ 79.57, I 18

Crystal structure
```
data_LiCoRe2Os
_chemical_formula_sum 'Li1 Co1 Re2 Os1'
_cell_length_a 4.411
_cell_length_b 4.411
_cell_length_c 3.795
_cell_angle_alpha 90.00
_cell_angle_beta 90.00
_cell_angle_gamma 90.00
_space_group_name_H-M_alt 'P 1'
_space_group_IT_number 1
loop_
_space_group_symop_operation_xyz
'x,y,z'
loop_
_atom_site_label
_atom_site_fract_x
_atom_site_fract_y
_atom_site_fract_z
Li1 0.000 0.000 0.000
Co1 0.000 0.000 0.500
Re1 0.000 0.500 0.500
Re2 0.500 0.000 0.500
Os1 0.500 0.500 0.000
```

***

This entry pairs a crystal structure of LiCo5P3 with its calculated X-ray diffraction stick pattern. Radiation: Cu Kα (weighted mean of Kα1 and Kα2). Structure: a crystal structure in Alexandria, relaxed with GGA-PBE.
Peak positions follow from Bragg's law for the DFT cell and can differ from measured ones.

Peak list (10 most intense, 2θ from 10° to 90°, by intensity)
- d 5.560, 2θ 15.94, I 100
- d 5.145, 2θ 17.24, I 91
- d 1.830, 2θ 49.83, I 55
- d 2.145, 2θ 42.13, I 52
- d 1.856, 2θ 49.07, I 43
- d 1.765, 2θ 51.79, I 40
- d 1.762, 2θ 51.91, I 38
- d 2.494, 2θ 36.01, I 33
- d 5.804, 2θ 15.27, I 31
- d 1.938, 2θ 46.87, I 29

Crystal structure
```
data_LiCo5P3
_chemical_formula_sum 'Li2 Co10 P6'
_cell_length_a 6.065
_cell_length_b 6.065
_cell_length_c 11.119
_cell_angle_alpha 90.00
_cell_angle_beta 90.00
_cell_angle_gamma 146.23
_space_group_name_H-M_alt 'P 1'
_space_group_IT_number 1
loop_
_space_group_symop_operation_xyz
'x,y,z'
loop_
_atom_site_label
_atom_site_fract_x
_atom_site_fract_y
_atom_site_fract_z
Li1 0.126 0.874 0.750
Li2 0.874 0.126 0.250
Co1 0.000 0.000 0.000
Co2 0.000 0.000 0.500
Co3 0.197 0.803 0.067
Co4 0.197 0.803 0.433
Co5 0.447 0.553 0.643
Co6 0.447 0.553 0.857
Co7 0.553 0.447 0.143
Co8 0.553 0.447 0.357
Co9 0.803 0.197 0.567
Co10 0.803 0.197 0.933
P1 0.113 0.887 0.250
P2 0.380 0.620 0.045
P3 0.380 0.620 0.455
P4 0.620 0.380 0.545
P5 0.620 0.380 0.955
P6 0.887 0.113 0.750
```

***

This entry pairs a crystal structure of LiCoP2Ru with its calculated X-ray diffraction stick pattern. Radiation: Cu Kα (weighted mean of Kα1 and Kα2). Structure: a crystal structure in Alexandria, relaxed with GGA-PBE.
Peak positions follow from Bragg's law for the DFT cell and can differ from measured ones.

Peak list (10 most intense, 2θ from 10° to 90°, by intensity)
- d 4.649, 2θ 19.09, I 100
- d 2.353, 2θ 38.25, I 80
- d 1.769, 2θ 51.66, I 52
- d 1.929, 2θ 47.10, I 38
- d 3.564, 2θ 24.98, I 28
- d 1.782, 2θ 51.26, I 28
- d 2.729, 2θ 32.82, I 20
- d 1.180, 2θ 81.56, I 16
- d 1.364, 2θ 68.81, I 12
- d 1.347, 2θ 69.80, I 11

Crystal structure
```
data_LiCoP2Ru
_chemical_formula_sum 'Li1 Co1 P2 Ru1'
_cell_length_a 5.390
_cell_length_b 5.390
_cell_length_c 5.390
_cell_angle_alpha 138.05
_cell_angle_beta 138.05
_cell_angle_gamma 60.82
_space_group_name_H-M_alt 'P 1'
_space_group_IT_number 1
loop_
_space_group_symop_operation_xyz
'x,y,z'
loop_
_atom_site_label
_atom_site_fract_x
_atom_site_fract_y
_atom_site_fract_z
Li1 0.000 0.000 0.000
Co1 0.750 0.250 0.500
P1 0.378 0.378 0.000
P2 0.622 0.622 0.000
Ru1 0.250 0.750 0.500
```

***

This entry pairs a crystal structure of Li2CoPd9 with its calculated X-ray diffraction stick pattern. Radiation: Cu Kα (weighted mean of Kα1 and Kα2). Structure: a crystal structure in Alexandria, relaxed with GGA-PBE.
Peak positions follow from Bragg's law for the DFT cell and can differ from measured ones.

Peak list (10 most intense, 2θ from 10° to 90°, by intensity)
- d 2.241, 2θ 40.24, I 100
- d 1.938, 2θ 46.87, I 32
- d 1.169, 2θ 82.50, I 24
- d 1.373, 2θ 68.30, I 20
- d 3.882, 2θ 22.91, I 19
- d 1.946, 2θ 46.67, I 16
- d 2.745, 2θ 32.62, I 16
- d 1.173, 2θ 82.20, I 12
- d 1.121, 2θ 86.94, I 11
- d 1.371, 2θ 68.46, I 10

Crystal structure
```
data_Li2CoPd9
_chemical_formula_sum 'Li2 Co1 Pd9'
_cell_length_a 3.877
_cell_length_b 3.877
_cell_length_c 11.677
_cell_angle_alpha 90.00
_cell_angle_beta 90.00
_cell_angle_gamma 90.00
_space_group_name_H-M_alt 'P 1'
_space_group_IT_number 1
loop_
_space_group_symop_operation_xyz
'x,y,z'
loop_
_atom_site_label
_atom_site_fract_x
_atom_site_fract_y
_atom_site_fract_z
Li1 0.000 0.000 0.165
Li2 0.000 0.000 0.835
Co1 0.000 0.000 0.500
Pd1 0.000 0.500 0.000
Pd2 0.000 0.500 0.336
Pd3 0.000 0.500 0.664
Pd4 0.500 0.000 0.000
Pd5 0.500 0.000 0.336
Pd6 0.500 0.000 0.664
Pd7 0.500 0.500 0.168
Pd8 0.500 0.500 0.500
Pd9 0.500 0.500 0.832
```

***

This entry pairs a crystal structure of LiPm3Co with its calculated X-ray diffraction stick pattern. Radiation: Cu Kα (weighted mean of Kα1 and Kα2). Structure: a crystal structure in Alexandria, relaxed with GGA-PBE.
Peak positions follow from Bragg's law for the DFT cell and can differ from measured ones.

Peak list (10 most intense, 2θ from 10° to 90°, by intensity)
- d 3.112, 2θ 28.69, I 100
- d 2.447, 2θ 36.73, I 89
- d 5.997, 2θ 14.77, I 87
- d 2.643, 2θ 33.91, I 49
- d 1.820, 2θ 50.11, I 45
- d 3.234, 2θ 27.59, I 43
- d 2.418, 2θ 37.19, I 33
- d 2.082, 2θ 43.47, I 32
- d 5.287, 2θ 16.77, I 31
- d 1.585, 2θ 58.19, I 21

Crystal structure
```
data_LiPm3Co
_chemical_formula_sum 'Li2 Pm6 Co2'
_cell_length_a 7.284
_cell_length_b 7.284
_cell_length_c 7.723
_cell_angle_alpha 118.27
_cell_angle_beta 118.27
_cell_angle_gamma 59.93
_space_group_name_H-M_alt 'P 1'
_space_group_IT_number 1
loop_
_space_group_symop_operation_xyz
'x,y,z'
loop_
_atom_site_label
_atom_site_fract_x
_atom_site_fract_y
_atom_site_fract_z
Li1 0.082 0.082 0.245
Li2 0.918 0.918 0.755
Pm1 0.085 0.591 0.267
Pm2 0.409 0.409 0.732
Pm3 0.409 0.915 0.733
Pm4 0.591 0.085 0.267
Pm5 0.591 0.591 0.268
Pm6 0.915 0.409 0.733
Co1 0.331 0.331 0.993
Co2 0.669 0.669 0.007
```

***

This entry pairs a crystal structure of Li2PmCo9 with its calculated X-ray diffraction stick pattern. Radiation: Cu Kα (weighted mean of Kα1 and Kα2). Structure: a crystal structure in Alexandria, relaxed with GGA-PBE.
Peak positions follow from Bragg's law for the DFT cell and can differ from measured ones.

Peak list (10 most intense, 2θ from 10° to 90°, by intensity)
- d 2.254, 2θ 39.99, I 100
- d 1.957, 2θ 46.39, I 57
- d 2.066, 2θ 43.83, I 53
- d 2.001, 2θ 45.32, I 52
- d 3.677, 2θ 24.20, I 52
- d 2.454, 2θ 36.62, I 45
- d 1.805, 2θ 50.58, I 29
- d 1.127, 2θ 86.32, I 25
- d 4.809, 2θ 18.45, I 23
- d 3.609, 2θ 24.67, I 22

Crystal structure
```
data_Li2PmCo9
_chemical_formula_sum 'Li4 Pm2 Co18'
_cell_length_a 8.070
_cell_length_b 8.070
_cell_length_c 4.809
_cell_angle_alpha 90.00
_cell_angle_beta 90.00
_cell_angle_gamma 90.00
_space_group_name_H-M_alt 'P 1'
_space_group_IT_number 1
loop_
_space_group_symop_operation_xyz
'x,y,z'
loop_
_atom_site_label
_atom_site_fract_x
_atom_site_fract_y
_atom_site_fract_z
Li1 0.114 0.386 0.000
Li2 0.386 0.886 0.000
Li3 0.614 0.114 0.000
Li4 0.886 0.614 0.000
Pm1 0.000 0.000 0.000
Pm2 0.500 0.500 0.000
Co1 0.000 0.500 0.500
Co2 0.069 0.214 0.500
Co3 0.179 0.679 0.239
Co4 0.179 0.679 0.761
Co5 0.214 0.931 0.500
Co6 0.286 0.431 0.500
Co7 0.321 0.179 0.239
Co8 0.321 0.179 0.761
Co9 0.431 0.714 0.500
Co10 0.500 0.000 0.500
Co11 0.569 0.286 0.500
Co12 0.679 0.821 0.239
Co13 0.679 0.821 0.761
Co14 0.714 0.569 0.500
Co15 0.786 0.069 0.500
Co16 0.821 0.321 0.239
Co17 0.821 0.321 0.761
Co18 0.931 0.786 0.500
```

***

This entry pairs a crystal structure of Li2PrCo9 with its calculated X-ray diffraction stick pattern. Radiation: Cu Kα (weighted mean of Kα1 and Kα2). Structure: a crystal structure in Alexandria, relaxed with GGA-PBE.
Peak positions follow from Bragg's law for the DFT cell and can differ from measured ones.

Peak list (10 most intense, 2θ from 10° to 90°, by intensity)
- d 2.263, 2θ 39.83, I 100
- d 1.966, 2θ 46.19, I 60
- d 2.009, 2θ 45.14, I 56
- d 2.074, 2θ 43.65, I 54
- d 3.692, 2θ 24.11, I 53
- d 2.464, 2θ 36.47, I 45
- d 1.812, 2θ 50.35, I 30
- d 4.827, 2θ 18.38, I 26
- d 1.132, 2θ 85.88, I 25
- d 3.624, 2θ 24.56, I 23

Crystal structure
```
data_Li2PrCo9
_chemical_formula_sum 'Li4 Pr2 Co18'
_cell_length_a 8.104
_cell_length_b 8.104
_cell_length_c 4.827
_cell_angle_alpha 90.00
_cell_angle_beta 90.00
_cell_angle_gamma 90.00
_space_group_name_H-M_alt 'P 1'
_space_group_IT_number 1
loop_
_space_group_symop_operation_xyz
'x,y,z'
loop_
_atom_site_label
_atom_site_fract_x
_atom_site_fract_y
_atom_site_fract_z
Li1 0.114 0.386 0.000
Li2 0.386 0.886 0.000
Li3 0.614 0.114 0.000
Li4 0.886 0.614 0.000
Pr1 0.000 0.000 0.000
Pr2 0.500 0.500 0.000
Co1 0.000 0.500 0.500
Co2 0.069 0.215 0.500
Co3 0.179 0.679 0.240
Co4 0.179 0.679 0.760
Co5 0.215 0.931 0.500
Co6 0.285 0.431 0.500
Co7 0.321 0.179 0.240
Co8 0.321 0.179 0.760
Co9 0.431 0.715 0.500
Co10 0.500 0.000 0.500
Co11 0.569 0.285 0.500
Co12 0.679 0.821 0.240
Co13 0.679 0.821 0.760
Co14 0.715 0.569 0.500
Co15 0.785 0.069 0.500
Co16 0.821 0.321 0.240
Co17 0.821 0.321 0.760
Co18 0.931 0.785 0.500
```

***

This entry pairs a crystal structure of LiCo4Pt with its calculated X-ray diffraction stick pattern. Radiation: Cu Kα (weighted mean of Kα1 and Kα2). Structure: a crystal structure in Alexandria, relaxed with GGA-PBE.
Peak positions follow from Bragg's law for the DFT cell and can differ from measured ones.

Peak list (10 most intense, 2θ from 10° to 90°, by intensity)
- d 2.015, 2θ 44.98, I 100
- d 3.342, 2θ 26.67, I 42
- d 3.859, 2θ 23.05, I 38
- d 2.363, 2θ 38.08, I 36
- d 1.930, 2θ 47.10, I 32
- d 1.286, 2θ 73.64, I 30
- d 1.182, 2θ 81.45, I 19
- d 1.495, 2θ 62.10, I 16
- d 1.364, 2θ 68.81, I 13
- d 1.533, 2θ 60.36, I 9

Crystal structure
```
data_LiCo4Pt
_chemical_formula_sum 'Li1 Co4 Pt1'
_cell_length_a 4.726
_cell_length_b 4.726
_cell_length_c 4.726
_cell_angle_alpha 60.00
_cell_angle_beta 60.00
_cell_angle_gamma 60.00
_space_group_name_H-M_alt 'P 1'
_space_group_IT_number 1
loop_
_space_group_symop_operation_xyz
'x,y,z'
loop_
_atom_site_label
_atom_site_fract_x
_atom_site_fract_y
_atom_site_fract_z
Li1 0.000 0.000 0.000
Co1 0.123 0.626 0.626
Co2 0.626 0.123 0.626
Co3 0.626 0.626 0.123
Co4 0.626 0.626 0.626
Pt1 0.250 0.250 0.250
```

***

This entry pairs a crystal structure of LiCoPt with its calculated X-ray diffraction stick pattern. Radiation: Cu Kα (weighted mean of Kα1 and Kα2). Structure: a crystal structure in Alexandria, relaxed with GGA-PBE.
Peak positions follow from Bragg's law for the DFT cell and can differ from measured ones.

Peak list (10 most intense, 2θ from 10° to 90°, by intensity)
- d 3.408, 2θ 26.15, I 100
- d 2.186, 2θ 41.29, I 77
- d 3.849, 2θ 23.11, I 77
- d 1.901, 2θ 47.86, I 71
- d 2.126, 2θ 42.51, I 71
- d 1.851, 2θ 49.23, I 46
- d 2.525, 2θ 35.55, I 46
- d 1.326, 2θ 71.10, I 30
- d 1.518, 2θ 61.03, I 20
- d 1.132, 2θ 85.89, I 19

Crystal structure
```
data_LiCoPt
_chemical_formula_sum 'Li1 Co1 Pt1'
_cell_length_a 4.495
_cell_length_b 4.495
_cell_length_c 4.495
_cell_angle_alpha 145.41
_cell_angle_beta 129.99
_cell_angle_gamma 62.23
_space_group_name_H-M_alt 'P 1'
_space_group_IT_number 1
loop_
_space_group_symop_operation_xyz
'x,y,z'
loop_
_atom_site_label
_atom_site_fract_x
_atom_site_fract_y
_atom_site_fract_z
Li1 0.000 0.000 0.000
Co1 0.674 0.674 0.000
Pt1 0.331 0.331 0.000
```

***

This entry pairs a crystal structure of LiPuCo4 with its calculated X-ray diffraction stick pattern. Radiation: Cu Kα (weighted mean of Kα1 and Kα2). Structure: a crystal structure in Alexandria, relaxed with GGA-PBE.
Peak positions follow from Bragg's law for the DFT cell and can differ from measured ones.

Peak list (10 most intense, 2θ from 10° to 90°, by intensity)
- d 2.074, 2θ 43.63, I 100
- d 3.440, 2θ 25.90, I 47
- d 3.972, 2θ 22.38, I 45
- d 2.432, 2θ 36.96, I 41
- d 1.324, 2θ 71.22, I 31
- d 1.986, 2θ 45.68, I 29
- d 1.538, 2θ 60.15, I 18
- d 1.216, 2θ 78.67, I 18
- d 1.404, 2θ 66.59, I 15
- d 1.578, 2θ 58.47, I 12

Crystal structure
```
data_LiPuCo4
_chemical_formula_sum 'Li1 Pu1 Co4'
_cell_length_a 4.865
_cell_length_b 4.865
_cell_length_c 4.865
_cell_angle_alpha 60.00
_cell_angle_beta 60.00
_cell_angle_gamma 60.00
_space_group_name_H-M_alt 'P 1'
_space_group_IT_number 1
loop_
_space_group_symop_operation_xyz
'x,y,z'
loop_
_atom_site_label
_atom_site_fract_x
_atom_site_fract_y
_atom_site_fract_z
Li1 0.000 0.000 0.000
Pu1 0.750 0.750 0.750
Co1 0.374 0.374 0.374
Co2 0.374 0.374 0.878
Co3 0.374 0.878 0.374
Co4 0.878 0.374 0.374
```